1.
Theoretical powder diffraction line list
Compound: Ti2FeNi8
Radiation: Cu Kα X-rays
Structure: a cell relaxed with PBE

Structure:
```
data_Ti2FeNi8
_cell_length_a 7.0724
_cell_length_b 7.0724
_cell_length_c 4.3923
_cell_angle_alpha 108.10
_cell_angle_beta 108.10
_cell_angle_gamma 124.25
_space_group_name_H-M_alt 'P 1'
_space_group_IT_number 1
loop_
_space_group_symop_operation_xyz
'x,y,z'
loop_
_atom_site_label
_atom_site_fract_x
_atom_site_fract_y
_atom_site_fract_z
Ti1 0.1854 0.8146 0.0000
Ti2 0.8146 0.1854 0.0000
Fe1 0.5000 0.5000 0.5000
Ni1 0.0025 0.0025 0.7551
Ni2 0.1346 0.3956 0.7636
Ni3 0.3048 0.6952 0.5000
Ni4 0.3956 0.1346 0.7636
Ni5 0.6044 0.8654 0.2364
Ni6 0.6952 0.3048 0.5000
Ni7 0.8654 0.6044 0.2364
Ni8 0.9975 0.9975 0.2449
```

Top 12 peaks for 10 to 80 degrees two-theta, low angle first:
2θ = 28.0°, intensity 20
2θ = 41.1°, intensity 47
2θ = 41.6°, intensity 97
2θ = 42.6°, intensity 100
2θ = 43.4°, intensity 33
2θ = 43.7°, intensity 30
2θ = 45.8°, intensity 36
2θ = 46.9°, intensity 80
2θ = 47.5°, intensity 81
2θ = 50.8°, intensity 28
2θ = 58.1°, intensity 18
2θ = 59.0°, intensity 22

=====

2.
Theoretical powder diffraction line list
Compound: Ti6H2C3O
Radiation: Cu Kα X-rays
Structure: a cell relaxed with PBE

Structure:
```
data_Ti6H2C3O
_cell_length_a 5.3232
_cell_length_b 5.3232
_cell_length_c 5.1953
_cell_angle_alpha 99.94
_cell_angle_beta 99.94
_cell_angle_gamma 119.91
_space_group_name_H-M_alt 'P 1'
_space_group_IT_number 1
loop_
_space_group_symop_operation_xyz
'x,y,z'
loop_
_atom_site_label
_atom_site_fract_x
_atom_site_fract_y
_atom_site_fract_z
Ti1 0.0887 0.4129 0.7669
Ti2 0.2364 0.2364 0.2411
Ti3 0.4129 0.0887 0.7669
Ti4 0.5871 0.9113 0.2331
Ti5 0.7636 0.7636 0.7589
Ti6 0.9113 0.5871 0.2331
H1 0.3345 0.6656 0.5000
H2 0.6656 0.3345 0.5000
C1 0.1670 0.8330 0.0000
C2 0.5000 0.5000 0.0000
C3 0.8330 0.1670 0.0000
O1 0.0000 0.0000 0.5000
```

Top 12 peaks for 10 to 80 degrees two-theta, low angle first:
2θ = 35.9°, intensity 100
2θ = 36.9°, intensity 30
2θ = 41.9°, intensity 42
2θ = 42.0°, intensity 84
2θ = 60.2°, intensity 37
2θ = 61.5°, intensity 22
2θ = 61.6°, intensity 11
2θ = 72.2°, intensity 8
2θ = 72.6°, intensity 7
2θ = 72.8°, intensity 14
2θ = 74.0°, intensity 6
2θ = 76.1°, intensity 17

=====

3.
Theoretical powder diffraction line list
Compound: Ca2Hg2Pd5Au
Radiation: Cu Kα X-rays
Structure: a cell relaxed with PBE

Structure:
```
data_Ca2Hg2Pd5Au
_cell_length_a 9.9005
_cell_length_b 9.9005
_cell_length_c 4.0713
_cell_angle_alpha 90.00
_cell_angle_beta 90.00
_cell_angle_gamma 90.00
_space_group_name_H-M_alt 'P 1'
_space_group_IT_number 1
loop_
_space_group_symop_operation_xyz
'x,y,z'
loop_
_atom_site_label
_atom_site_fract_x
_atom_site_fract_y
_atom_site_fract_z
Ca1 0.1725 0.3275 0.0000
Ca2 0.3275 0.8275 0.0000
Ca3 0.6725 0.1725 0.0000
Ca4 0.8275 0.6725 0.0000
Hg1 0.1274 0.6274 0.0000
Hg2 0.3726 0.1274 0.0000
Hg3 0.6274 0.8726 0.0000
Hg4 0.8726 0.3726 0.0000
Pd1 0.0000 0.5000 0.5000
Pd2 0.0608 0.8055 0.5000
Pd3 0.1945 0.0608 0.5000
Pd4 0.3055 0.5608 0.5000
Pd5 0.4392 0.3055 0.5000
Pd6 0.5000 0.0000 0.5000
Pd7 0.5608 0.6945 0.5000
Pd8 0.6945 0.4392 0.5000
Pd9 0.8055 0.9392 0.5000
Pd10 0.9392 0.1945 0.5000
Au1 0.0000 0.0000 0.0000
Au2 0.5000 0.5000 0.0000
```

Top 12 peaks for 10 to 80 degrees two-theta, low angle first:
2θ = 17.9°, intensity 16
2θ = 20.1°, intensity 44
2θ = 33.8°, intensity 16
2θ = 36.2°, intensity 100
2θ = 37.5°, intensity 11
2θ = 39.6°, intensity 37
2θ = 40.8°, intensity 9
2θ = 42.8°, intensity 10
2θ = 44.5°, intensity 22
2θ = 46.8°, intensity 10
2θ = 52.2°, intensity 16
2θ = 76.5°, intensity 11

=====

4.
Theoretical powder diffraction line list
Compound: Li11Sn3
Radiation: Cu Kα X-rays
Structure: a cell relaxed with PBE

Structure:
```
data_Li11Sn3
_cell_length_a 8.2787
_cell_length_b 8.2787
_cell_length_c 8.2787
_cell_angle_alpha 148.00
_cell_angle_beta 124.19
_cell_angle_gamma 65.80
_space_group_name_H-M_alt 'P 1'
_space_group_IT_number 1
loop_
_space_group_symop_operation_xyz
'x,y,z'
loop_
_atom_site_label
_atom_site_fract_x
_atom_site_fract_y
_atom_site_fract_z
Li1 0.0000 0.0000 0.0000
Li2 0.0935 0.8585 0.2351
Li3 0.1671 0.3138 0.8533
Li4 0.2411 0.5000 0.7411
Li5 0.3766 0.1415 0.2351
Li6 0.4604 0.3138 0.1467
Li7 0.5396 0.6862 0.8533
Li8 0.6234 0.8585 0.7649
Li9 0.7589 0.5000 0.2589
Li10 0.8329 0.6862 0.1467
Li11 0.9065 0.1415 0.7649
Sn1 0.1782 0.6782 0.5000
Sn2 0.5000 0.0000 0.5000
Sn3 0.8218 0.3218 0.5000
```

Top 12 peaks for 10 to 80 degrees two-theta, low angle first:
2θ = 22.4°, intensity 100
2θ = 22.6°, intensity 99
2θ = 23.0°, intensity 44
2θ = 27.4°, intensity 65
2θ = 36.1°, intensity 77
2θ = 39.5°, intensity 18
2θ = 40.0°, intensity 26
2θ = 40.1°, intensity 28
2θ = 45.4°, intensity 29
2θ = 45.8°, intensity 31
2θ = 57.1°, intensity 17
2θ = 57.4°, intensity 19

=====

5.
Theoretical powder diffraction line list
Compound: H4AuNCl3
Radiation: Cu Kα X-rays
Structure: a cell relaxed with PBE

Structure:
```
data_H4AuNCl3
_cell_length_a 6.7351
_cell_length_b 8.9721
_cell_length_c 12.0973
_cell_angle_alpha 96.03
_cell_angle_beta 92.19
_cell_angle_gamma 93.67
_space_group_name_H-M_alt 'P 1'
_space_group_IT_number 1
loop_
_space_group_symop_operation_xyz
'x,y,z'
loop_
_atom_site_label
_atom_site_fract_x
_atom_site_fract_y
_atom_site_fract_z
H1 0.0000 0.0000 0.0000
H2 0.0019 0.5339 0.6752
H3 0.0628 0.8218 0.0104
H4 0.1512 0.4329 0.5889
H5 0.1650 0.4233 0.7293
H6 0.2138 0.9428 0.9475
H7 0.4320 0.3330 0.1616
H8 0.4541 0.8832 0.5594
H9 0.4585 0.8700 0.4181
H10 0.4781 0.7157 0.4828
H11 0.5095 0.3952 0.0420
H12 0.6165 0.4692 0.1682
H13 0.6619 0.2937 0.1185
H14 0.6692 0.8480 0.4937
H15 0.9610 0.3454 0.6528
H16 0.9927 0.8727 0.8846
Au1 0.0274 0.7567 0.2801
Au2 0.1341 0.3128 0.3036
Au3 0.6057 0.1096 0.7895
Au4 0.6055 0.6027 0.8085
N1 0.0666 0.9097 0.9605
N2 0.0704 0.4332 0.6608
N3 0.5155 0.8298 0.4895
N4 0.5544 0.3723 0.1215
Cl1 0.0132 0.8917 0.4538
Cl2 0.0336 0.6236 0.1048
Cl3 0.3135 0.9827 0.7110
Cl4 0.3196 0.8945 0.2474
Cl5 0.3333 0.4508 0.4414
Cl6 0.3646 0.4589 0.8855
Cl7 0.5385 0.0243 0.9606
Cl8 0.6764 0.1888 0.6178
Cl9 0.7447 0.6126 0.3176
Cl10 0.8459 0.7428 0.7272
Cl11 0.8951 0.2364 0.8688
Cl12 0.9324 0.1717 0.1698
```

Top 12 peaks for 10 to 80 degrees two-theta, low angle first:
2θ = 14.8°, intensity 100
2θ = 15.4°, intensity 40
2θ = 20.5°, intensity 20
2θ = 22.0°, intensity 13
2θ = 23.2°, intensity 31
2θ = 25.4°, intensity 10
2θ = 26.4°, intensity 8
2θ = 26.6°, intensity 9
2θ = 26.7°, intensity 18
2θ = 28.3°, intensity 8
2θ = 28.4°, intensity 11
2θ = 39.3°, intensity 12

=====

6.
Theoretical powder diffraction line list
Compound: Hf4Ga5Co
Radiation: Cu Kα X-rays
Structure: a cell relaxed with PBE

Structure:
```
data_Hf4Ga5Co
_cell_length_a 6.3384
_cell_length_b 6.3384
_cell_length_c 6.3384
_cell_angle_alpha 101.09
_cell_angle_beta 101.09
_cell_angle_gamma 127.98
_space_group_name_H-M_alt 'P 1'
_space_group_IT_number 1
loop_
_space_group_symop_operation_xyz
'x,y,z'
loop_
_atom_site_label
_atom_site_fract_x
_atom_site_fract_y
_atom_site_fract_z
Hf1 0.0573 0.3088 0.3661
Hf2 0.3088 0.9427 0.2516
Hf3 0.6912 0.0573 0.7484
Hf4 0.9427 0.6912 0.6339
Ga1 0.2207 0.2207 0.0000
Ga2 0.2894 0.6088 0.8627
Ga3 0.4267 0.2894 0.6806
Ga4 0.6088 0.7461 0.3194
Ga5 0.7461 0.4267 0.1373
Co1 0.8038 0.8038 0.0000
```

Top 12 peaks for 10 to 80 degrees two-theta, low angle first:
2θ = 29.5°, intensity 56
2θ = 31.4°, intensity 22
2θ = 32.2°, intensity 58
2θ = 35.2°, intensity 100
2θ = 36.0°, intensity 24
2θ = 37.2°, intensity 73
2θ = 43.7°, intensity 25
2θ = 45.6°, intensity 45
2θ = 48.5°, intensity 62
2θ = 55.8°, intensity 19
2θ = 59.8°, intensity 27
2θ = 73.5°, intensity 22

=====

7.
Theoretical powder diffraction line list
Compound: Dy2Ga5Pd5
Radiation: Cu Kα X-rays
Structure: a cell relaxed with PBE

Structure:
```
data_Dy2Ga5Pd5
_cell_length_a 4.3124
_cell_length_b 5.3111
_cell_length_c 9.3382
_cell_angle_alpha 90.00
_cell_angle_beta 90.00
_cell_angle_gamma 90.00
_space_group_name_H-M_alt 'P 1'
_space_group_IT_number 1
loop_
_space_group_symop_operation_xyz
'x,y,z'
loop_
_atom_site_label
_atom_site_fract_x
_atom_site_fract_y
_atom_site_fract_z
Dy1 0.0000 0.0000 0.0000
Dy2 0.0000 0.5000 0.5000
Ga1 0.5000 0.0000 0.5000
Ga2 0.5000 0.2457 0.2364
Ga3 0.5000 0.2457 0.7636
Ga4 0.5000 0.7543 0.2364
Ga5 0.5000 0.7543 0.7636
Pd1 0.0000 0.0000 0.3371
Pd2 0.0000 0.0000 0.6629
Pd3 0.0000 0.5000 0.1891
Pd4 0.0000 0.5000 0.8109
Pd5 0.5000 0.5000 0.0000
```

Top 12 peaks for 10 to 80 degrees two-theta, low angle first:
2θ = 28.3°, intensity 27
2θ = 33.4°, intensity 29
2θ = 33.8°, intensity 19
2θ = 38.6°, intensity 14
2θ = 39.0°, intensity 18
2θ = 39.5°, intensity 100
2θ = 39.9°, intensity 43
2θ = 41.9°, intensity 38
2θ = 44.5°, intensity 14
2θ = 54.6°, intensity 14
2θ = 64.3°, intensity 23
2θ = 74.9°, intensity 15

=====

8.
Theoretical powder diffraction line list
Compound: Mg2PClO4
Radiation: Cu Kα X-rays
Structure: a cell relaxed with PBE

Structure:
```
data_Mg2PClO4
_cell_length_a 11.0788
_cell_length_b 8.0101
_cell_length_c 4.8685
_cell_angle_alpha 90.00
_cell_angle_beta 90.00
_cell_angle_gamma 90.00
_space_group_name_H-M_alt 'P 1'
_space_group_IT_number 1
loop_
_space_group_symop_operation_xyz
'x,y,z'
loop_
_atom_site_label
_atom_site_fract_x
_atom_site_fract_y
_atom_site_fract_z
Mg1 0.1222 0.0991 0.0000
Mg2 0.1283 0.6638 0.9941
Mg3 0.3717 0.1638 0.4941
Mg4 0.3778 0.5991 0.5000
Mg5 0.6222 0.4009 0.0000
Mg6 0.6283 0.8362 0.9941
Mg7 0.8717 0.3362 0.4941
Mg8 0.8778 0.9009 0.5000
P1 0.1658 0.8799 0.5467
P2 0.3342 0.3799 0.0467
P3 0.6658 0.6201 0.5467
P4 0.8342 0.1201 0.0467
Cl1 0.0607 0.3786 0.7472
Cl2 0.4393 0.8786 0.2472
Cl3 0.5607 0.1214 0.7472
Cl4 0.9393 0.6214 0.2472
O1 0.0415 0.8769 0.7019
O2 0.1522 0.8808 0.2308
O3 0.2286 0.0404 0.6522
O4 0.2325 0.7221 0.6519
O5 0.2675 0.2221 0.1519
O6 0.2714 0.5404 0.1522
O7 0.3478 0.3808 0.7308
O8 0.4585 0.3769 0.2019
O9 0.5415 0.6231 0.7019
O10 0.6522 0.6192 0.2308
O11 0.7286 0.4596 0.6522
O12 0.7325 0.7779 0.6519
O13 0.7675 0.2779 0.1519
O14 0.7714 0.9596 0.1522
O15 0.8478 0.1192 0.7308
O16 0.9585 0.1231 0.2019
```

Top 12 peaks for 10 to 80 degrees two-theta, low angle first:
2θ = 13.6°, intensity 17
2θ = 19.5°, intensity 28
2θ = 22.8°, intensity 22
2θ = 24.3°, intensity 29
2θ = 26.6°, intensity 35
2θ = 30.0°, intensity 100
2θ = 32.4°, intensity 25
2θ = 34.3°, intensity 18
2θ = 37.9°, intensity 50
2θ = 45.3°, intensity 21
2θ = 50.3°, intensity 34
2θ = 53.0°, intensity 17

=====

9.
Theoretical powder diffraction line list
Compound: Zr2NbTe5
Radiation: Cu Kα X-rays
Structure: a cell relaxed with PBE

Structure:
```
data_Zr2NbTe5
_cell_length_a 7.6531
_cell_length_b 7.6531
_cell_length_c 12.8853
_cell_angle_alpha 90.00
_cell_angle_beta 90.00
_cell_angle_gamma 137.32
_space_group_name_H-M_alt 'P 1'
_space_group_IT_number 1
loop_
_space_group_symop_operation_xyz
'x,y,z'
loop_
_atom_site_label
_atom_site_fract_x
_atom_site_fract_y
_atom_site_fract_z
Zr1 0.1729 0.8271 0.5303
Zr2 0.1729 0.8271 0.9697
Zr3 0.8271 0.1729 0.0303
Zr4 0.8271 0.1729 0.4697
Nb1 0.1840 0.8160 0.2500
Nb2 0.8160 0.1840 0.7500
Te1 0.0347 0.9653 0.1203
Te2 0.0347 0.9653 0.3797
Te3 0.2551 0.7449 0.7500
Te4 0.3392 0.6608 0.0948
Te5 0.3392 0.6608 0.4052
Te6 0.6608 0.3392 0.5948
Te7 0.6608 0.3392 0.9052
Te8 0.7449 0.2551 0.2500
Te9 0.9653 0.0347 0.6203
Te10 0.9653 0.0347 0.8797
```

Top 12 peaks for 10 to 80 degrees two-theta, low angle first:
2θ = 12.4°, intensity 34
2θ = 17.1°, intensity 56
2θ = 24.2°, intensity 41
2θ = 25.6°, intensity 36
2θ = 26.9°, intensity 25
2θ = 30.5°, intensity 42
2θ = 32.1°, intensity 88
2θ = 32.6°, intensity 62
2θ = 37.4°, intensity 100
2θ = 44.9°, intensity 29
2θ = 46.5°, intensity 45
2θ = 48.1°, intensity 28

=====

10.
Theoretical powder diffraction line list
Compound: Ac4La2H
Radiation: Cu Kα X-rays
Structure: a cell relaxed with PBE

Structure:
```
data_Ac4La2H
_cell_length_a 5.3446
_cell_length_b 5.3446
_cell_length_c 18.5470
_cell_angle_alpha 90.00
_cell_angle_beta 90.00
_cell_angle_gamma 90.00
_space_group_name_H-M_alt 'P 1'
_space_group_IT_number 1
loop_
_space_group_symop_operation_xyz
'x,y,z'
loop_
_atom_site_label
_atom_site_fract_x
_atom_site_fract_y
_atom_site_fract_z
Ac1 0.0000 0.0000 0.1570
Ac2 0.0000 0.0000 0.8430
Ac3 0.0000 0.5000 0.0000
Ac4 0.0000 0.5000 0.5000
Ac5 0.5000 0.0000 0.0000
Ac6 0.5000 0.0000 0.5000
Ac7 0.5000 0.5000 0.3430
Ac8 0.5000 0.5000 0.6570
La1 0.0000 0.0000 0.3591
La2 0.0000 0.0000 0.6409
La3 0.5000 0.5000 0.1409
La4 0.5000 0.5000 0.8591
H1 0.0000 0.0000 0.0000
H2 0.5000 0.5000 0.5000
```

Top 12 peaks for 10 to 80 degrees two-theta, low angle first:
2θ = 22.0°, intensity 8
2θ = 25.5°, intensity 70
2θ = 28.9°, intensity 29
2θ = 30.5°, intensity 100
2θ = 33.5°, intensity 53
2θ = 44.8°, intensity 36
2θ = 48.2°, intensity 19
2θ = 52.2°, intensity 9
2θ = 55.2°, intensity 40
2θ = 57.1°, intensity 18
2θ = 58.1°, intensity 33
2θ = 76.2°, intensity 18

=====

11.
Theoretical powder diffraction line list
Compound: Ac4NdZn
Radiation: Cu Kα X-rays
Structure: a cell relaxed with PBE

Structure:
```
data_Ac4NdZn
_cell_length_a 3.9278
_cell_length_b 3.9278
_cell_length_c 14.9227
_cell_angle_alpha 90.00
_cell_angle_beta 90.00
_cell_angle_gamma 90.00
_space_group_name_H-M_alt 'P 1'
_space_group_IT_number 1
loop_
_space_group_symop_operation_xyz
'x,y,z'
loop_
_atom_site_label
_atom_site_fract_x
_atom_site_fract_y
_atom_site_fract_z
Ac1 0.0000 0.0000 0.1293
Ac2 0.0000 0.0000 0.8707
Ac3 0.5000 0.5000 0.3245
Ac4 0.5000 0.5000 0.6755
Nd1 0.0000 0.0000 0.5000
Zn1 0.5000 0.5000 0.0000
```

Top 12 peaks for 10 to 80 degrees two-theta, low angle first:
2θ = 23.4°, intensity 14
2θ = 25.6°, intensity 13
2θ = 29.0°, intensity 100
2θ = 29.9°, intensity 10
2θ = 32.2°, intensity 47
2θ = 44.6°, intensity 14
2θ = 46.2°, intensity 18
2θ = 49.2°, intensity 12
2θ = 54.5°, intensity 14
2θ = 55.5°, intensity 35
2θ = 74.1°, intensity 11
2θ = 75.0°, intensity 9

=====

12.
Theoretical powder diffraction line list
Compound: Ba2PrAl2O7
Radiation: Cu Kα X-rays
Structure: a cell relaxed with PBE

Structure:
```
data_Ba2PrAl2O7
_cell_length_a 10.8464
_cell_length_b 10.8464
_cell_length_c 10.8464
_cell_angle_alpha 159.25
_cell_angle_beta 159.25
_cell_angle_gamma 29.51
_space_group_name_H-M_alt 'P 1'
_space_group_IT_number 1
loop_
_space_group_symop_operation_xyz
'x,y,z'
loop_
_atom_site_label
_atom_site_fract_x
_atom_site_fract_y
_atom_site_fract_z
Ba1 0.1809 0.1809 0.0000
Ba2 0.8191 0.8191 0.0000
Pr1 0.0000 0.0000 0.0000
Al1 0.4097 0.4097 0.0000
Al2 0.5903 0.5903 0.0000
O1 0.0844 0.5844 0.5000
O2 0.3181 0.3181 0.0000
O3 0.4156 0.9156 0.5000
O4 0.5000 0.5000 0.0000
O5 0.5844 0.0844 0.5000
O6 0.6819 0.6819 0.0000
O7 0.9156 0.4156 0.5000
```

Top 12 peaks for 10 to 80 degrees two-theta, low angle first:
2θ = 23.2°, intensity 47
2θ = 25.5°, intensity 27
2θ = 31.3°, intensity 100
2θ = 32.4°, intensity 67
2θ = 41.7°, intensity 61
2θ = 46.5°, intensity 39
2θ = 53.5°, intensity 16
2θ = 53.8°, intensity 14
2θ = 55.0°, intensity 11
2θ = 57.1°, intensity 37
2θ = 67.9°, intensity 12
2θ = 73.5°, intensity 13